Record 1
Starting from the PBE geometry in the Materials Project, the powder XRD pattern of BiTe3 was calculated for Cu Kα, 1.54184 Å.
No peak broadening, texture or thermal motion is included.

Structure:
Cell: 4.3168 4.3168 24.8746 Å, 90.00 90.00 120.00°
Space group R3m (No. 160, hexagonal axes)
One atom of each set of equivalent atoms:
Bi: 0.0000 0.0000 0.0000 x3
Te: 0.0000 0.0000 0.4126 x3
Te: 0.0000 0.0000 0.5847 x3
Te: 0.0000 0.0000 0.8309 x3

Peak list (10 most intense, 10 to 90 degrees two-theta, most intense first)
index, d [Å], 2theta, I/Imax
0 1 5, 2.989, 29.90, 100.0
1 0 7, 2.576, 34.83, 57.4
1 1 0, 2.158, 41.85, 51.9
0 1 2, 3.580, 24.87, 47.5
1 1 12, 1.495, 62.09, 37.3
0 0 12, 2.072, 43.69, 30.6
2 0 5, 1.750, 52.28, 21.1
1 2 5, 1.359, 69.11, 18.4
0 2 7, 1.654, 55.55, 15.1
2 1 7, 1.313, 71.91, 14.1

---

Record 2
Starting from the PBE geometry in the Materials Project, the powder XRD pattern of ThBiTe was calculated for Cu Kα, 1.54184 Å.
No peak broadening, texture or thermal motion is included.

Structure:
Cell: 4.5261 4.5261 9.2623 Å, 90.00 90.00 90.00°
Space group P4/nmm (No. 129, origin choice 2)
One atom of each set of equivalent atoms:
Th: 0.2500 0.2500 0.2208 x2
Bi: 0.2500 0.7500 0.5000 x2
Te: 0.2500 0.2500 0.8655 x2

Peak list (10 most intense, 10 to 90 degrees two-theta, most intense first)
index, d [Å], 2theta, I/Imax
1 1 2, 2.633, 34.05, 100.0
1 1 1, 3.025, 29.53, 85.1
2 0 0, 2.263, 39.83, 54.4
0 0 3, 3.087, 28.92, 37.3
3 1 2, 1.367, 68.65, 36.2
2 0 3, 1.825, 49.97, 33.8
1 0 3, 2.551, 35.19, 33.7
1 0 1, 4.067, 21.86, 25.3
2 1 3, 1.693, 54.18, 20.0
2 2 0, 1.600, 57.60, 18.9